Calculated X-ray diffraction stick pattern
Compound: Na3CoSiBO7
Radiation: Cu Kα (weighted mean of Kα1 and Kα2)
Structure: the PBE+U geometry in the Materials Project

Cell and atoms:
Cell: 8.436 8.441 8.968 Å, 91.19 91.30 103.25°
Fractional positions:
Na (0.119, 0.125, 0.261)
Na (0.123, 0.628, 0.741)
Na (0.239, 0.492, 0.087)
Na (0.252, 0.006, 0.917)
Na (0.376, 0.869, 0.263)
Na (0.378, 0.371, 0.739)
Na (0.622, 0.629, 0.261)
Na (0.624, 0.131, 0.737)
Na (0.748, 0.994, 0.083)
Na (0.761, 0.508, 0.913)
Na (0.877, 0.372, 0.259)
Na (0.881, 0.875, 0.739)
Co (0.014, 0.268, 0.655)
Co (0.481, 0.232, 0.336)
Co (0.519, 0.768, 0.664)
Co (0.986, 0.732, 0.345)
Si (0.238, 0.989, 0.577)
Si (0.269, 0.518, 0.428)
Si (0.731, 0.482, 0.572)
Si (0.762, 0.011, 0.423)
B (0.007, 0.757, 0.066)
B (0.489, 0.739, 0.931)
B (0.511, 0.261, 0.069)
B (0.993, 0.243, 0.934)
O (0.025, 0.776, 0.917)
O (0.084, 0.834, 0.523)
O (0.107, 0.856, 0.173)
O (0.112, 0.362, 0.869)
O (0.139, 0.587, 0.321)
O (0.166, 0.114, 0.683)
O (0.184, 0.434, 0.577)
O (0.318, 0.068, 0.424)
O (0.333, 0.389, 0.318)
O (0.364, 0.919, 0.686)
O (0.392, 0.144, 0.138)
O (0.392, 0.641, 0.821)
O (0.423, 0.674, 0.475)
O (0.473, 0.724, 0.078)
O (0.527, 0.276, 0.922)
O (0.577, 0.326, 0.525)
O (0.608, 0.359, 0.179)
O (0.608, 0.856, 0.862)
O (0.636, 0.081, 0.314)
O (0.667, 0.611, 0.682)
O (0.682, 0.932, 0.576)
O (0.816, 0.566, 0.423)
O (0.834, 0.886, 0.317)
O (0.861, 0.413, 0.679)
O (0.888, 0.638, 0.131)
O (0.893, 0.144, 0.827)
O (0.916, 0.166, 0.477)
O (0.975, 0.224, 0.083)

Largest 8 diffraction maxima, sorted by position, 2θ from 10° to 90°:
2theta, intensity
16.66, 68
19.94, 38
26.96, 100
29.91, 40
33.39, 59
33.70, 82
34.25, 80
55.57, 41

Calculated X-ray diffraction stick pattern
Compound: Cs4FeO4
Radiation: Cu Kα (weighted mean of Kα1 and Kα2)
Structure: the PBE+U geometry in the Materials Project

Cell and atoms:
Cell: 11.160 7.067 11.703 Å, 90.00 99.54 90.00°
Fractional positions:
Cs (0.063, 0.077, 0.328)
Cs (0.063, 0.423, 0.828)
Cs (0.160, 0.615, 0.507)
Cs (0.160, 0.885, 0.007)
Cs (0.391, 0.710, 0.782)
Cs (0.391, 0.790, 0.282)
Cs (0.403, 0.237, 0.934)
Cs (0.403, 0.263, 0.434)
Cs (0.597, 0.737, 0.566)
Cs (0.597, 0.763, 0.066)
Cs (0.609, 0.210, 0.718)
Cs (0.609, 0.290, 0.218)
Cs (0.840, 0.115, 0.993)
Cs (0.840, 0.385, 0.493)
Cs (0.937, 0.577, 0.172)
Cs (0.937, 0.923, 0.672)
Fe (0.238, 0.127, 0.647)
Fe (0.238, 0.373, 0.147)
Fe (0.762, 0.627, 0.853)
Fe (0.762, 0.873, 0.353)
O (0.093, 0.222, 0.576)
O (0.093, 0.278, 0.076)
O (0.200, 0.505, 0.272)
O (0.200, 0.995, 0.772)
O (0.331, 0.541, 0.075)
O (0.331, 0.959, 0.575)
O (0.336, 0.161, 0.170)
O (0.336, 0.339, 0.670)
O (0.664, 0.661, 0.330)
O (0.664, 0.839, 0.830)
O (0.669, 0.041, 0.425)
O (0.669, 0.459, 0.925)
O (0.800, 0.005, 0.228)
O (0.800, 0.495, 0.728)
O (0.907, 0.722, 0.924)
O (0.907, 0.778, 0.424)

Largest 8 diffraction maxima, sorted by position, 2θ from 10° to 90°:
2theta, intensity
26.39, 40
26.52, 86
27.26, 100
29.58, 32
30.37, 32
32.59, 30
33.28, 54
49.44, 23

Calculated X-ray diffraction stick pattern
Compound: MnNb3P6O24
Radiation: Cu Kα (weighted mean of Kα1 and Kα2)
Structure: the PBE+U geometry in the Materials Project

Cell and atoms:
Cell: 8.985 8.985 8.985 Å, 58.55 58.55 58.55°
Fractional positions:
Mn (0.000, 0.000, 0.000)
Nb (0.284, 0.284, 0.284)
Nb (0.501, 0.501, 0.501)
Nb (0.783, 0.783, 0.783)
P (0.108, 0.683, 0.386)
P (0.176, 0.614, 0.894)
P (0.386, 0.108, 0.683)
P (0.614, 0.894, 0.176)
P (0.683, 0.386, 0.108)
P (0.894, 0.176, 0.614)
O (0.008, 0.640, 0.863)
O (0.063, 0.205, 0.432)
O (0.085, 0.858, 0.221)
O (0.140, 0.508, 0.363)
O (0.155, 0.777, 0.919)
O (0.205, 0.432, 0.063)
O (0.221, 0.085, 0.858)
O (0.276, 0.643, 0.427)
O (0.353, 0.576, 0.724)
O (0.363, 0.140, 0.508)
O (0.427, 0.276, 0.643)
O (0.432, 0.063, 0.205)
O (0.508, 0.363, 0.140)
O (0.564, 0.933, 0.704)
O (0.576, 0.724, 0.353)
O (0.640, 0.863, 0.008)
O (0.643, 0.427, 0.276)
O (0.704, 0.564, 0.933)
O (0.724, 0.353, 0.576)
O (0.777, 0.919, 0.155)
O (0.858, 0.221, 0.085)
O (0.863, 0.008, 0.640)
O (0.919, 0.155, 0.777)
O (0.933, 0.704, 0.564)

Largest 8 diffraction maxima, sorted by position, 2θ from 10° to 90°:
2theta, intensity
14.10, 50
19.77, 100
20.21, 64
23.54, 84
28.42, 66
31.57, 43
35.13, 27
51.98, 25